This entry pairs a crystal structure of NaV2HgO6 with its theoretical X-ray diffraction stick pattern. Radiation: Cu Kα X-rays. Structure: a PBE+U-relaxed structure.
Lines closer than 0.1° are merged.

Cell and atoms:
```
data_NaV2HgO6
_space_group_name_H-M_alt 'C 1 2/c 1'
_space_group_IT_number 15
_cell_length_a 10.9208
_cell_length_b 10.1535
_cell_length_c 6.0692
_cell_angle_alpha 90.00
_cell_angle_beta 108.70
_cell_angle_gamma 90.00
loop_
_space_group_symop_operation_xyz
'x,y,z'
'-x,-y,-z'
'-x,y,-z+1/2'
'x,-y,z+1/2'
'x+1/2,y+1/2,z'
'-x+1/2,-y+1/2,-z'
'-x+1/2,y+1/2,-z+1/2'
'x+1/2,-y+1/2,z+1/2'
loop_
_atom_site_label
_atom_site_type_symbol
_atom_site_fract_x
_atom_site_fract_y
_atom_site_fract_z
Na1 Na 0.0000 0.0987 0.2500
V1 V 0.2034 0.4195 0.2511
Hg1 Hg 0.0000 0.2654 0.7500
O1 O 0.1323 0.0844 0.6524
O2 O 0.1440 0.2663 0.1851
O3 O 0.1480 0.4857 0.4818
```

Largest 10 diffraction maxima, low angle first, 5° ≤ 2θ ≤ 70°:
index  2theta  I (rel.)
1 1 -1  17.4  100.0
1 1 1  21.8  47.9
2 2 0  24.6  81.4
2 2 -1  26.0  30.0
3 1 -1  27.0  66.1
1 3 -1  30.5  49.2
0 0 2  31.1  43.4
2 2 -2  35.2  24.1
3 1 1  35.5  33.0
6 0 0  53.1  21.4